No. 1
Diffraction record for KSnN3. The X-ray powder pattern is simulated, not measured: it uses a structure optimized by DFT (PBE) and Cu Kα.
Neutral-atom scattering factors, no anomalous dispersion.

The 12 most intense peaks (5° ≤ 2θ ≤ 70°), most intense first:
d [Å], intensity, h k l
3.258, 100, 0 1 2
5.873, 83, 1 0 0
3.391, 64, 1 1 0
4.699, 58, 0 1 1
1.931, 50, 1 2 2
2.349, 46, 2 0 2
1.696, 32, 2 -1 4
1.958, 24, 3 0 0
3.112, 20, 1 1 1
1.504, 20, 4 -1 2
7.831, 14, 0 0 1
2.937, 13, 2 0 0

Structure:
```
10
Lattice="6.782 0.000 0.000 -3.391 5.873 0.000 0.000 0.000 7.831" Properties=species:S:1:pos:R:3 pbc="T T T"
K 0.000 3.916 3.088
K 3.391 1.958 4.743
Sn 0.000 3.916 6.895
Sn 3.391 1.958 0.936
N -0.774 2.316 5.689
N -0.998 5.386 5.689
N 1.618 1.828 2.142
N 1.773 4.045 5.689
N 4.389 0.487 2.142
N 4.165 3.558 2.142
```

No. 2
Diffraction record for K2SnN2. The X-ray powder pattern is simulated, not measured: it uses a structure optimized by DFT (PBE) and Cu Kα.
Neutral-atom scattering factors, no anomalous dispersion.

The 12 most intense peaks (5° ≤ 2θ ≤ 70°), most intense first:
d [Å], intensity, h k l
10.661, 100, 0 0 1
2.612, 34, 0 1 2
2.885, 27, 1 0 1
2.291, 17, 0 1 3
1.737, 10, 1 0 5
3.554, 9, 0 0 3
1.730, 9, 1 1 0
1.992, 6, 1 0 4
1.528, 6, 0 1 6
2.665, 6, 0 0 4
1.708, 6, 1 1 1
1.451, 6, 1 1 4

Structure:
```
5
Lattice="3.460 0.000 0.000 -1.730 2.997 0.000 0.000 0.000 10.661" Properties=species:S:1:pos:R:3 pbc="T T T"
K 0.000 1.998 2.437
K 1.730 0.999 8.224
Sn 0.000 0.000 5.331
N 0.000 1.998 6.486
N 1.730 0.999 4.175
```

No. 3
Diffraction record for KSrN. The X-ray powder pattern is simulated, not measured: it uses a structure optimized by DFT (PBE) and Cu Kα.
Neutral-atom scattering factors, no anomalous dispersion.

The 12 most intense peaks (5° ≤ 2θ ≤ 70°), most intense first:
d [Å], intensity, h k l
3.333, 100, 2 0 0
2.892, 89, 1 1 1
6.718, 82, 0 0 1
2.039, 38, 0 2 0
3.359, 25, 0 0 2
1.740, 22, 2 2 0
2.230, 21, 1 1 2
2.237, 20, 2 0 -3
2.656, 20, 1 1 -2
1.951, 19, 3 1 -2
3.479, 17, 1 1 0
1.667, 15, 4 0 0

Structure:
```
6
Lattice="7.064 0.000 0.000 0.000 4.078 0.000 -2.375 0.000 6.718" Properties=species:S:1:pos:R:3 pbc="T T T"
K 0.000 0.000 0.000
K 3.532 2.039 0.000
Sr -1.197 2.039 4.110
Sr 2.335 0.000 4.110
N -0.019 0.000 5.006
N 3.513 2.039 5.006
```

No. 4
Diffraction record for K2TiN2. The X-ray powder pattern is simulated, not measured: it uses a structure optimized by DFT (PBE) and Cu Kα.
Neutral-atom scattering factors, no anomalous dispersion.

The 12 most intense peaks (5° ≤ 2θ ≤ 70°), most intense first:
d [Å], intensity, h k l
10.451, 100, 0 0 1
2.455, 44, 0 1 2
2.688, 33, 1 0 1
2.174, 25, 0 1 3
3.484, 15, 0 0 3
1.671, 14, 1 0 5
1.606, 13, 1 1 0
2.613, 7, 0 0 4
1.476, 7, 0 1 6
1.458, 6, 1 1 3
1.368, 5, 1 1 4
1.904, 4, 1 0 4

Structure:
```
5
Lattice="3.212 0.000 0.000 -1.606 2.782 0.000 0.000 0.000 10.451" Properties=species:S:1:pos:R:3 pbc="T T T"
K 0.000 1.854 2.307
K 1.606 0.927 8.145
Ti 0.000 0.000 5.226
N 0.000 1.854 6.284
N 1.606 0.927 4.167
```